For Sm2DyTm7, a DFT-relaxed cell (PBE, Alexandria) gives the theoretical powder diffraction line list in this record (λ = 1.5418 Å (Cu Kα)).
Intensities are scaled so that the largest is 100.

Structure:
```
Sm2DyTm7
1.0
3.200 -14.247 0.000
3.200 14.247 0.000
0.000 0.000 3.492
Sm Dy Tm
2 1 7
Direct
0.209 0.791 0.000
0.791 0.209 0.000
0.500 0.500 0.500
0.000 0.000 0.000
0.155 0.352 0.000
0.316 0.684 0.500
0.352 0.155 0.000
0.648 0.845 0.000
0.684 0.316 0.500
0.845 0.648 0.000
```

Most intense lines, 10° ≤ 2θ ≤ 90°, in order of rising 2θ:
- 2θ = 25.51°, intensity 24
- 2θ = 29.31°, intensity 45
- 2θ = 30.63°, intensity 74
- 2θ = 31.40°, intensity 69
- 2θ = 31.81°, intensity 45
- 2θ = 33.19°, intensity 100
- 2θ = 33.78°, intensity 74
- 2θ = 40.27°, intensity 35
- 2θ = 50.21°, intensity 25
- 2θ = 52.79°, intensity 24
- 2θ = 62.37°, intensity 27
- 2θ = 63.81°, intensity 27

For Sm2Dy9Tm3, a DFT-relaxed cell (PBE, Alexandria) gives the theoretical powder diffraction line list in this record (λ = 1.5418 Å (Cu Kα)).
Intensities are scaled so that the largest is 100.

Structure:
```
Sm2Dy9Tm3
1.0
8.536 -5.128 0.000
8.536 5.128 0.000
-1.776 0.000 5.244
Sm Dy Tm
2 9 3
Direct
0.179 0.821 0.000
0.821 0.179 0.000
0.143 0.470 0.807
0.248 0.578 0.413
0.282 0.944 0.613
0.470 0.143 0.807
0.547 0.885 0.218
0.578 0.248 0.413
0.599 0.599 0.609
0.885 0.547 0.218
0.944 0.282 0.613
0.207 0.207 0.207
0.805 0.805 0.807
0.922 0.922 0.423
```

Most intense lines, 10° ≤ 2θ ≤ 90°, in order of rising 2θ:
- 2θ = 30.98°, intensity 47
- 2θ = 32.00°, intensity 59
- 2θ = 32.11°, intensity 58
- 2θ = 32.34°, intensity 60
- 2θ = 32.72°, intensity 100
- 2θ = 38.12°, intensity 16
- 2θ = 45.39°, intensity 33
- 2θ = 47.51°, intensity 20
- 2θ = 53.62°, intensity 14
- 2θ = 57.92°, intensity 20
- 2θ = 63.85°, intensity 32
- 2θ = 64.02°, intensity 16

For Sm3Dy2Tm8, a DFT-relaxed cell (PBE, Alexandria) gives the theoretical powder diffraction line list in this record (λ = 1.5418 Å (Cu Kα)).
Intensities are scaled so that the largest is 100.

Structure:
```
Sm3Dy2Tm8
1.0
10.007 -3.812 0.000
10.007 3.812 0.000
-0.003 0.000 5.557
Sm Dy Tm
3 2 8
Direct
0.000 0.000 0.000
0.291 0.709 0.500
0.709 0.291 0.500
0.241 0.241 0.999
0.759 0.759 0.001
0.134 0.134 0.500
0.181 0.600 0.000
0.331 0.331 0.499
0.400 0.819 0.000
0.600 0.181 0.000
0.669 0.669 0.501
0.819 0.400 0.000
0.866 0.866 0.500
```

Most intense lines, 10° ≤ 2θ ≤ 90°, in order of rising 2θ:
- 2θ = 25.00°, intensity 20
- 2θ = 29.90°, intensity 31
- 2θ = 31.28°, intensity 32
- 2θ = 32.22°, intensity 41
- 2θ = 33.67°, intensity 100
- 2θ = 35.89°, intensity 12
- 2θ = 41.20°, intensity 11
- 2θ = 58.38°, intensity 21
- 2θ = 58.74°, intensity 9
- 2θ = 62.15°, intensity 11
- 2θ = 65.06°, intensity 10
- 2θ = 67.91°, intensity 10

For SmDy3Tm8, a DFT-relaxed cell (PBE, Alexandria) gives the theoretical powder diffraction line list in this record (λ = 1.5418 Å (Cu Kα)).
Intensities are scaled so that the largest is 100.

Structure:
```
SmDy3Tm8
1.0
6.375 -5.384 0.000
6.375 5.384 0.000
-3.028 0.000 5.432
Sm Dy Tm
1 3 8
Direct
0.000 0.000 0.000
0.251 0.251 0.916
0.500 0.500 0.500
0.749 0.749 0.415
0.083 0.418 0.418
0.167 0.833 0.499
0.334 0.666 0.999
0.418 0.083 0.418
0.582 0.916 0.916
0.666 0.334 0.999
0.833 0.167 0.499
0.916 0.582 0.916
```

Most intense lines, 10° ≤ 2θ ≤ 90°, in order of rising 2θ:
- 2θ = 28.71°, intensity 24
- 2θ = 32.15°, intensity 24
- 2θ = 33.00°, intensity 100
- 2θ = 43.64°, intensity 15
- 2θ = 50.87°, intensity 20
- 2θ = 57.86°, intensity 20
- 2θ = 61.46°, intensity 23
- 2θ = 61.98°, intensity 16
- 2θ = 69.22°, intensity 4
- 2θ = 80.61°, intensity 8
- 2θ = 84.21°, intensity 14
- 2θ = 88.98°, intensity 8

For Sm3Dy3Tm8, a DFT-relaxed cell (PBE, Alexandria) gives the theoretical powder diffraction line list in this record (λ = 1.5418 Å (Cu Kα)).
Intensities are scaled so that the largest is 100.

Structure:
```
Sm3Dy3Tm8
1.0
-2.791 5.349 7.447
2.791 -5.349 7.447
2.791 5.349 -7.447
Sm Dy Tm
3 3 8
Direct
0.000 0.000 0.000
0.184 0.684 0.500
0.816 0.316 0.500
0.204 0.500 0.704
0.500 0.500 0.000
0.796 0.500 0.296
0.119 0.279 0.840
0.239 0.897 0.342
0.440 0.279 0.160
0.445 0.103 0.342
0.555 0.897 0.658
0.560 0.721 0.840
0.761 0.103 0.658
0.881 0.721 0.160
```

Most intense lines, 10° ≤ 2θ ≤ 90°, in order of rising 2θ:
- 2θ = 29.30°, intensity 8
- 2θ = 30.03°, intensity 22
- 2θ = 30.87°, intensity 19
- 2θ = 32.10°, intensity 100
- 2θ = 34.12°, intensity 37
- 2θ = 45.11°, intensity 13
- 2θ = 51.24°, intensity 7
- 2θ = 57.20°, intensity 13
- 2θ = 58.48°, intensity 8
- 2θ = 61.75°, intensity 9
- 2θ = 63.00°, intensity 10
- 2θ = 81.47°, intensity 7

For Sm12Dy5Tm, a DFT-relaxed cell (PBE, Alexandria) gives the theoretical powder diffraction line list in this record (λ = 1.5418 Å (Cu Kα)).
Intensities are scaled so that the largest is 100.

Structure:
```
Sm12Dy5Tm
1.0
7.619 -7.631 0.000
7.619 7.631 0.000
0.000 0.000 5.089
Sm Dy Tm
12 5 1
Direct
0.001 0.668 0.500
0.165 0.165 0.000
0.167 0.501 0.000
0.332 0.999 0.500
0.334 0.334 0.500
0.499 0.833 0.000
0.501 0.167 0.000
0.666 0.666 0.500
0.668 0.001 0.500
0.833 0.499 0.000
0.835 0.835 0.000
0.999 0.332 0.500
0.166 0.834 0.000
0.333 0.667 0.500
0.500 0.500 0.000
0.667 0.333 0.500
0.834 0.166 0.000
0.000 0.000 0.500
```

Most intense lines, 10° ≤ 2θ ≤ 90°, in order of rising 2θ:
- 2θ = 30.45°, intensity 100
- 2θ = 35.30°, intensity 51
- 2θ = 50.78°, intensity 36
- 2θ = 60.37°, intensity 43
- 2θ = 63.36°, intensity 12
- 2θ = 74.61°, intensity 4
- 2θ = 74.76°, intensity 2
- 2θ = 82.72°, intensity 18
- 2θ = 85.33°, intensity 11
- 2θ = 85.46°, intensity 5

For Sm3Dy4Tm2, a DFT-relaxed cell (PBE, Alexandria) gives the theoretical powder diffraction line list in this record (λ = 1.5418 Å (Cu Kα)).
Intensities are scaled so that the largest is 100.

Structure:
```
Sm3Dy4Tm2
1.0
8.222 -5.780 0.000
8.222 5.780 0.000
-0.706 0.000 6.028
Sm Dy Tm
6 8 4
Direct
0.099 0.901 0.750
0.233 0.433 0.921
0.433 0.233 0.421
0.567 0.767 0.579
0.767 0.567 0.079
0.901 0.099 0.250
0.075 0.351 0.349
0.314 0.591 0.485
0.351 0.075 0.849
0.409 0.686 0.015
0.591 0.314 0.985
0.649 0.925 0.151
0.686 0.409 0.515
0.925 0.649 0.651
0.020 0.744 0.183
0.256 0.980 0.317
0.744 0.020 0.683
0.980 0.256 0.817
```

Most intense lines, 10° ≤ 2θ ≤ 90°, in order of rising 2θ:
- 2θ = 28.37°, intensity 13
- 2θ = 30.55°, intensity 100
- 2θ = 30.94°, intensity 41
- 2θ = 31.88°, intensity 83
- 2θ = 37.81°, intensity 51
- 2θ = 49.63°, intensity 19
- 2θ = 50.89°, intensity 22
- 2θ = 55.63°, intensity 11
- 2θ = 55.95°, intensity 32
- 2θ = 66.63°, intensity 7
- 2θ = 70.19°, intensity 8
- 2θ = 70.28°, intensity 7

For Sm3Dy4Tm, a DFT-relaxed cell (PBE, Alexandria) gives the theoretical powder diffraction line list in this record (λ = 1.5418 Å (Cu Kα)).
Intensities are scaled so that the largest is 100.

Structure:
```
Sm3Dy4Tm
1.0
11.355 0.000 0.000
0.000 7.289 0.000
0.000 0.000 6.295
Sm Dy Tm
6 8 2
Direct
0.000 0.126 0.000
0.250 0.125 0.333
0.250 0.875 0.833
0.500 0.874 0.500
0.750 0.125 0.333
0.750 0.875 0.833
0.000 0.376 0.502
0.000 0.623 0.000
0.248 0.624 0.334
0.252 0.376 0.834
0.500 0.377 0.500
0.500 0.624 0.002
0.748 0.376 0.834
0.752 0.624 0.334
0.000 0.872 0.499
0.500 0.128 0.999
```

Most intense lines, 10° ≤ 2θ ≤ 90°, in order of rising 2θ:
- 2θ = 28.31°, intensity 24
- 2θ = 31.52°, intensity 24
- 2θ = 32.49°, intensity 100
- 2θ = 42.87°, intensity 16
- 2θ = 50.05°, intensity 7
- 2θ = 50.17°, intensity 13
- 2θ = 56.74°, intensity 21
- 2θ = 60.36°, intensity 8
- 2θ = 60.46°, intensity 15
- 2θ = 60.97°, intensity 11
- 2θ = 82.85°, intensity 9
- 2θ = 87.08°, intensity 8

For Sm3DyTm7, a DFT-relaxed cell (PBE, Alexandria) gives the theoretical powder diffraction line list in this record (λ = 1.5418 Å (Cu Kα)).
Intensities are scaled so that the largest is 100.

Structure:
```
Sm3DyTm7
1.0
6.989 0.000 0.000
-3.495 6.053 0.000
0.000 0.000 8.577
Sm Dy Tm
3 1 7
Direct
0.000 0.500 0.000
0.500 0.000 0.000
0.500 0.500 0.000
0.333 0.667 0.338
0.167 0.335 0.663
0.167 0.833 0.663
0.335 0.168 0.339
0.665 0.833 0.663
0.667 0.333 0.663
0.832 0.168 0.339
0.832 0.665 0.339
```

Most intense lines, 10° ≤ 2θ ≤ 90°, in order of rising 2θ:
- 2θ = 10.31°, intensity 6
- 2θ = 17.94°, intensity 4
- 2θ = 31.33°, intensity 100
- 2θ = 36.33°, intensity 51
- 2θ = 52.33°, intensity 35
- 2θ = 62.27°, intensity 43
- 2θ = 65.40°, intensity 9
- 2θ = 77.15°, intensity 6
- 2θ = 85.55°, intensity 9
- 2θ = 85.68°, intensity 9
- 2θ = 88.34°, intensity 8
- 2θ = 88.46°, intensity 9

For Sm4Dy3Tm4, a DFT-relaxed cell (PBE, Alexandria) gives the theoretical powder diffraction line list in this record (λ = 1.5418 Å (Cu Kα)).
Intensities are scaled so that the largest is 100.

Structure:
```
Sm4Dy3Tm4
1.0
-1.778 2.507 19.547
1.778 -2.507 19.547
1.778 2.507 -19.547
Sm Dy Tm
4 3 4
Direct
0.046 0.046 0.000
0.318 0.318 0.000
0.682 0.682 0.000
0.954 0.954 0.000
0.136 0.136 0.000
0.500 0.500 0.000
0.864 0.864 0.000
0.228 0.228 0.000
0.408 0.408 0.000
0.592 0.592 0.000
0.772 0.772 0.000
```

Most intense lines, 10° ≤ 2θ ≤ 90°, in order of rising 2θ:
- 2θ = 30.83°, intensity 100
- 2θ = 35.75°, intensity 51
- 2θ = 51.40°, intensity 6
- 2θ = 51.47°, intensity 30
- 2θ = 61.16°, intensity 29
- 2θ = 61.28°, intensity 14
- 2θ = 64.22°, intensity 6
- 2θ = 64.25°, intensity 6
- 2θ = 83.90°, intensity 6
- 2θ = 84.02°, intensity 12
- 2θ = 86.62°, intensity 11
- 2θ = 86.81°, intensity 6

For Sm6Dy2Tm, a DFT-relaxed cell (PBE, Alexandria) gives the theoretical powder diffraction line list in this record (λ = 1.5418 Å (Cu Kα)).
Intensities are scaled so that the largest is 100.

Structure:
```
Sm6Dy2Tm
1.0
10.769 0.000 0.000
0.000 10.769 0.000
0.000 0.000 5.087
Sm Dy Tm
12 4 2
Direct
0.000 0.332 0.000
0.000 0.668 0.000
0.166 0.166 0.500
0.168 0.500 0.500
0.332 0.000 0.000
0.334 0.666 0.000
0.500 0.168 0.500
0.500 0.832 0.500
0.666 0.334 0.000
0.668 0.000 0.000
0.832 0.500 0.500
0.834 0.834 0.500
0.166 0.834 0.500
0.334 0.334 0.000
0.666 0.666 0.000
0.834 0.166 0.500
0.000 0.000 0.000
0.500 0.500 0.500
```

Most intense lines, 10° ≤ 2θ ≤ 90°, in order of rising 2θ:
- 2θ = 30.48°, intensity 100
- 2θ = 35.34°, intensity 51
- 2θ = 50.84°, intensity 36
- 2θ = 60.37°, intensity 14
- 2θ = 60.47°, intensity 29
- 2θ = 63.43°, intensity 12
- 2θ = 74.62°, intensity 2
- 2θ = 74.81°, intensity 4
- 2θ = 82.82°, intensity 18
- 2θ = 85.37°, intensity 6
- 2θ = 85.53°, intensity 11

For Sm3Dy2Tm9, a DFT-relaxed cell (PBE, Alexandria) gives the theoretical powder diffraction line list in this record (λ = 1.5418 Å (Cu Kα)).
Intensities are scaled so that the largest is 100.

Structure:
```
Sm3Dy2Tm9
1.0
6.228 0.000 0.000
0.483 8.580 0.000
2.065 1.437 8.349
Sm Dy Tm
3 2 9
Direct
0.000 0.000 0.000
0.180 0.356 0.203
0.496 0.757 0.542
0.698 0.337 0.967
0.808 0.408 0.564
0.054 0.753 0.368
0.155 0.069 0.560
0.251 0.380 0.767
0.341 0.691 0.959
0.442 0.983 0.165
0.589 0.045 0.764
0.719 0.613 0.187
0.735 0.124 0.361
0.903 0.708 0.776
```

Most intense lines, 10° ≤ 2θ ≤ 90°, in order of rising 2θ:
- 2θ = 31.56°, intensity 17
- 2θ = 31.74°, intensity 100
- 2θ = 32.02°, intensity 41
- 2θ = 33.64°, intensity 24
- 2θ = 33.87°, intensity 18
- 2θ = 34.67°, intensity 28
- 2θ = 49.31°, intensity 12
- 2θ = 53.23°, intensity 10
- 2θ = 54.98°, intensity 11
- 2θ = 59.38°, intensity 9
- 2θ = 60.19°, intensity 8
- 2θ = 63.58°, intensity 11